Starting from a crystal structure in Alexandria, relaxed with PBE, the powder diffractogram of Tm8ThSc5 was simulated for λ = 1.5418 Å (Cu Kα).

Principal peaks in the range 10° ≤ 2θ ≤ 90°, sorted by position:
Position (°2θ), intensity
13.30, 53
23.41, 89
29.58, 75
30.44, 81
30.54, 68
35.49, 91
35.95, 100
36.23, 68

Atomic structure:
```
data_Tm8ThSc5
_chemical_formula_sum 'Tm8 Th1 Sc5'
_space_group_name_H-M_alt 'P 1'
_space_group_IT_number 1
_cell_length_a 8.1116
_cell_length_b 8.1116
_cell_length_c 8.1116
_cell_angle_alpha 110.43
_cell_angle_beta 110.43
_cell_angle_gamma 107.58
loop_
_space_group_symop_operation_xyz
'x,y,z'
loop_
_atom_site_label
_atom_site_type_symbol
_atom_site_fract_x
_atom_site_fract_y
_atom_site_fract_z
_atom_site_occupancy
Tm1 Tm 0.1899 0.4063 0.5848 1
Tm2 Tm 0.3265 0.2294 0.2319 1
Tm3 Tm 0.3949 0.8101 0.2164 1
Tm4 Tm 0.5937 0.1785 0.7836 1
Tm5 Tm 0.7706 0.0026 0.0972 1
Tm6 Tm 0.8215 0.6051 0.4152 1
Tm7 Tm 0.9054 0.6735 0.9028 1
Tm8 Tm 0.9974 0.0946 0.7681 1
Th1 Th 0.7500 0.2500 0.5000 1
Sc1 Sc 0.0573 0.4682 0.1912 1
Sc2 Sc 0.1338 0.9427 0.4108 1
Sc3 Sc 0.2770 0.8662 0.8088 1
Sc4 Sc 0.5000 0.5000 0.0000 1
Sc5 Sc 0.5318 0.7230 0.5892 1
```

Starting from a crystal structure in Alexandria, relaxed with PBE, the powder diffractogram of ZnCu3Ni6 was simulated for λ = 1.5418 Å (Cu Kα).

Principal peaks in the range 10° ≤ 2θ ≤ 90°, sorted by position:
Position (°2θ), intensity
40.74, 32
43.82, 100
45.07, 76
46.97, 54
47.39, 48
47.65, 62
48.96, 42
49.08, 45

Atomic structure:
```
data_ZnCu3Ni6
_chemical_formula_sum 'Zn1 Cu3 Ni6'
_space_group_name_H-M_alt 'P 1'
_space_group_IT_number 1
_cell_length_a 2.5033
_cell_length_b 6.3779
_cell_length_c 7.7290
_cell_angle_alpha 108.81
_cell_angle_beta 98.86
_cell_angle_gamma 90.36
loop_
_space_group_symop_operation_xyz
'x,y,z'
loop_
_atom_site_label
_atom_site_type_symbol
_atom_site_fract_x
_atom_site_fract_y
_atom_site_fract_z
_atom_site_occupancy
Zn1 Zn 0.0000 0.0000 0.0000 1
Cu1 Cu 0.1588 0.5641 0.3449 1
Cu2 Cu 0.2978 0.3905 0.5858 1
Cu3 Cu 0.8714 0.1641 0.7471 1
Ni1 Ni 0.2186 0.9725 0.4526 1
Ni2 Ni 0.3535 0.7965 0.6961 1
Ni3 Ni 0.5169 0.3692 0.0443 1
Ni4 Ni 0.5787 0.7773 0.1689 1
Ni5 Ni 0.6462 0.1953 0.2949 1
Ni6 Ni 0.9386 0.5860 0.8770 1
```

Starting from a crystal structure in Alexandria, relaxed with PBE, the powder diffractogram of ErTiSe2 was simulated for λ = 1.5418 Å (Cu Kα).

Principal peaks in the range 10° ≤ 2θ ≤ 90°, sorted by position:
Position (°2θ), intensity
14.17, 15
26.80, 19
32.66, 100
46.54, 37
47.19, 34
58.01, 19
77.43, 16
78.41, 14

Atomic structure:
```
data_ErTiSe2
_chemical_formula_sum 'Er3 Ti3 Se6'
_space_group_name_H-M_alt 'P 1'
_space_group_IT_number 1
_cell_length_a 3.9029
_cell_length_b 3.9029
_cell_length_c 18.7472
_cell_angle_alpha 90.00
_cell_angle_beta 90.00
_cell_angle_gamma 120.00
loop_
_space_group_symop_operation_xyz
'x,y,z'
loop_
_atom_site_label
_atom_site_type_symbol
_atom_site_fract_x
_atom_site_fract_y
_atom_site_fract_z
_atom_site_occupancy
Er1 Er 0.0000 0.0000 0.0000 1
Er2 Er 0.3333 0.6667 0.6667 1
Er3 Er 0.6667 0.3333 0.3333 1
Ti1 Ti 0.0000 0.0000 0.5000 1
Ti2 Ti 0.3333 0.6667 0.1667 1
Ti3 Ti 0.6667 0.3333 0.8333 1
Se1 Se 0.0000 0.0000 0.2428 1
Se2 Se 0.0000 0.0000 0.7572 1
Se3 Se 0.3333 0.6667 0.4239 1
Se4 Se 0.3333 0.6667 0.9094 1
Se5 Se 0.6667 0.3333 0.0906 1
Se6 Se 0.6667 0.3333 0.5761 1
```